AcLa3Dy4: calculated powder diffraction line list (Cu Kα (weighted mean of Kα1 and Kα2)), based on DFT lattice parameters and positions (PBE).
Peak positions follow from Bragg's law for the DFT cell and can differ from measured ones.

Top 6 peaks for 2θ from 15° to 90°, by angle:
- 29.6 deg, intensity 56
- 29.9 deg, intensity 55
- 30.5 deg, intensity 100
- 35.7 deg, intensity 36
- 36.6 deg, intensity 31
- 61.4 deg, intensity 28

Structural model:
abc: 3.5192 11.9590 13.4784
angles: 90.00 90.00 90.00
Space group Immm (No. 71)
Asymmetric unit:
Ac  0.0000  0.0000  0.0000 (multiplicity 2)
La  0.0000  0.0000  0.5000 (multiplicity 2)
La  0.0000  0.5000  0.2555 (multiplicity 4)
Dy  0.0000  0.2527  0.1361 (multiplicity 8)


Ba2TlPt3Pb4: calculated powder diffraction line list (Cu Kα (weighted mean of Kα1 and Kα2)), based on DFT lattice parameters and positions (PBE).
Peak positions follow from Bragg's law for the DFT cell and can differ from measured ones.

Top 6 peaks for 2θ from 15° to 90°, by angle:
- 29.6 deg, intensity 47
- 29.7 deg, intensity 100
- 35.9 deg, intensity 85
- 40.7 deg, intensity 58
- 51.7 deg, intensity 30
- 60.8 deg, intensity 27

Structural model:
abc: 5.0023 5.0023 11.3814
angles: 90.00 90.00 90.00
Space group P-4m2 (No. 115)
Asymmetric unit:
Ba  0.0000  0.5000  0.2469 (multiplicity 2)
Tl  0.5000  0.5000  0.0000 (multiplicity 1)
Pt  0.0000  0.0000  0.0000 (multiplicity 1)
Pt  0.0000  0.5000  0.6171 (multiplicity 2)
Pb  0.0000  0.0000  0.5000 (multiplicity 1)
Pb  0.0000  0.5000  0.8577 (multiplicity 2)
Pb  0.5000  0.5000  0.5000 (multiplicity 1)